For Li3VF7, the PBE+U geometry in Alexandria gives the theoretical X-ray diffraction stick pattern in this record (λ = 1.5418 Å (Cu Kα)).
Kinematic intensities with the Lorentz-polarization factor, no thermal factor.

Peak list (6 most intense, 15° ≤ 2θ ≤ 90°, low angle first)
2θ = 18.88°, intensity 48.3
2θ = 19.46°, intensity 100.0
2θ = 21.13°, intensity 80.4
2θ = 35.52°, intensity 34.2
2θ = 47.18°, intensity 30.3
2θ = 50.92°, intensity 29.1

Crystal structure
```
Li3VF7
1.0
3.286 -3.788 0.000
3.286 3.788 0.000
-2.668 0.000 4.700
Li V F
3 1 7
direct
0.000 0.000 0.000
0.321 0.807 0.634
0.807 0.321 0.634
0.499 0.499 0.095
0.155 0.155 0.767
0.194 0.663 0.923
0.331 0.331 0.296
0.554 0.874 0.390
0.663 0.194 0.923
0.675 0.675 0.893
0.874 0.554 0.390
```